Structure and simulated X-ray diffraction stick pattern of Li5NiOF5 (the GGA+U geometry in Alexandria; Cu Kα (weighted mean of Kα1 and Kα2)).
Kinematic intensities with the Lorentz-polarization factor, no thermal factor.

Structure:
Unit cell a=2.9056 b=2.9056 c=12.4025 alpha=90.00 beta=90.00 gamma=90.00
Space group P4/mmm (No. 123)
Inequivalent atoms, fractional coordinates:
Li1 0.0000 0.0000 0.0000 (multiplicity 1)
Li2 0.0000 0.0000 0.3308 (multiplicity 2)
Li3 0.5000 0.5000 0.1626 (multiplicity 2)
Ni1 0.5000 0.5000 0.5000 (multiplicity 1)
O1 0.0000 0.0000 0.5000 (multiplicity 1)
F1 0.0000 0.0000 0.1636 (multiplicity 2)
F2 0.5000 0.5000 0.0000 (multiplicity 1)
F3 0.5000 0.5000 0.3253 (multiplicity 2)

Largest 8 diffraction maxima, by intensity, 2θ = 5–70°:
two_theta, I (rel.)
7.13, 100
44.08, 36
14.28, 24
63.88, 19
43.80, 18
31.63, 18
34.08, 13
21.49, 10